Theoretical powder diffraction line list
Compound: Ac8LaCo4
Radiation: Cu Ka
Structure: DFT lattice parameters and positions (PBE)
Peak positions follow from Bragg's law for the DFT cell and can differ from measured ones.

Structure:
a = 10.468 Å, b = 10.468 Å, c = 10.468 Å
α = 92.39°, β = 92.39°, γ = 156.41°
Sites, in units of the cell vectors:
1 Ac 0.044 0.336 0.380
2 Ac 0.312 0.354 0.666
3 Ac 0.336 0.956 0.292
4 Ac 0.354 0.688 0.042
5 Ac 0.646 0.312 0.958
6 Ac 0.664 0.044 0.708
7 Ac 0.688 0.646 0.334
8 Ac 0.956 0.664 0.620
9 La 0.000 0.000 0.000
10 Co 0.150 0.674 0.824
11 Co 0.326 0.150 0.476
12 Co 0.674 0.850 0.524
13 Co 0.850 0.326 0.176

Largest 10 diffraction maxima, low angle first, 2θ from 10° to 90°:
d 3.416, 2θ = 26.09°, intensity 32; d 3.241, 2θ = 27.53°, intensity 22; d 3.203, 2θ = 27.85°, intensity 100; d 2.842, 2θ = 31.48°, intensity 16; d 2.716, 2θ = 32.98°, intensity 14; d 2.415, 2θ = 37.23°, intensity 16; d 2.140, 2θ = 42.23°, intensity 13; d 2.001, 2θ = 45.33°, intensity 33; d 1.929, 2θ = 47.12°, intensity 15; d 1.601, 2θ = 57.56°, intensity 13